Starting from a cell relaxed with PBE+U, the powder XRD pattern of NaMoP2O8 was calculated for Cu Kα (λ = 1.5418 Å).
Kinematic intensities with the Lorentz-polarization factor, no thermal factor.

Top 6 peaks for 10 to 80 degrees two-theta, in order of rising 2θ:
(0 1 1), 2θ 10.92, I = 28
(0 2 1), 2θ 17.37, I = 71
(1 0 2), 2θ 22.97, I = 100
(1 2 1), 2θ 24.35, I = 22
(0 3 1), 2θ 24.70, I = 35
(1 2 3), 2θ 32.93, I = 33

Structure:
```
data_NaMoP2O8
_symmetry_space_group_name_H-M 'P 21 21 21'
_symmetry_Int_Tables_number 19
_cell_length_a 5.224
_cell_length_b 11.385
_cell_length_c 11.532
_cell_angle_alpha 90.00
_cell_angle_beta 90.00
_cell_angle_gamma 90.00
loop_
_symmetry_equiv_pos_as_xyz
'x,y,z'
'-x+1/2,-y,z+1/2'
'x+1/2,-y+1/2,-z'
'-x,y+1/2,-z+1/2'
loop_
_atom_site_label
_atom_site_fract_x
_atom_site_fract_y
_atom_site_fract_z
Na1 0.167 0.203 0.375
Mo1 0.240 0.589 0.639
P1 0.217 0.896 0.550
P2 0.249 0.118 0.674
O1 0.027 0.644 0.781
O2 0.052 0.851 0.268
O3 0.054 0.430 0.989
O4 0.087 0.071 0.957
O5 0.197 0.822 0.061
O6 0.224 0.555 0.178
O7 0.231 0.024 0.163
O8 0.236 0.771 0.593
```